Entry 1:
Diffraction record for TbPm2AgHg4. The PXRD pattern is calculated, not measured: it uses a DFT-relaxed cell (PBE, Alexandria) and CuKα.
Lines closer than 0.1° are merged.

Most intense lines, 10° ≤ 2θ ≤ 90°, by intensity:
2theta  intensity
33.82  1000
34.60  995
61.51  360
49.16  352
62.01  186
59.99  164
82.92  159
81.58  139
73.00  116
71.14  99

Cell and atoms:
Cell lengths 9.2549, 9.2549, 9.2549 Å; angles 32.53, 32.53, 32.53 degrees
Element x y z (fractional)
Tb: 0.0000 0.0000 0.0000
Pm: 0.2418 0.2418 0.2418
Pm: 0.7582 0.7582 0.7582
Ag: 0.5000 0.5000 0.5000
Hg: 0.1234 0.1234 0.1234
Hg: 0.3702 0.3702 0.3702
Hg: 0.6298 0.6298 0.6298
Hg: 0.8766 0.8766 0.8766



Entry 2:
Diffraction record for Nd8Ge3S4. The PXRD pattern is calculated, not measured: it uses a DFT-relaxed cell (PBE, Alexandria) and CuKα.
Lines closer than 0.1° are merged.

Most intense lines, 10° ≤ 2θ ≤ 90°, by intensity:
2theta  intensity
30.38  1000
26.24  525
43.45  370
43.56  368
71.70  192
53.90  130
51.52  129
54.08  129
51.44  86
79.78  82

Cell and atoms:
Cell lengths 8.3160, 8.3160, 8.2991 Å; angles 119.85, 119.85, 90.11 degrees
Element x y z (fractional)
Nd: 0.2474 0.2474 0.4933
Nd: 0.2474 0.2474 0.9963
Nd: 0.2475 0.7525 0.0000
Nd: 0.2488 0.7512 0.5000
Nd: 0.7512 0.2488 0.5000
Nd: 0.7525 0.2475 0.0000
Nd: 0.7526 0.7526 0.0037
Nd: 0.7526 0.7526 0.5067
Ge: 0.0000 0.5000 0.0000
Ge: 0.5000 0.0000 0.0000
Ge: 0.5000 0.5000 0.5000
S: 0.0000 0.0000 0.0000
S: 0.0000 0.0000 0.5000
S: 0.0000 0.5000 0.5000
S: 0.5000 0.0000 0.5000